(1)
Starting from DFT lattice parameters and positions (GGA-PBE), the powder diffraction line list of PmTiO3 was simulated for Cu Kα, 1.54184 Å.
Kinematic intensities with the Lorentz-polarization factor, no thermal factor.

Top 7 peaks for 2θ from 5° to 70°, low angle first:
hkl  2θ/deg  I (rel.)
0 0 1  22.7  24.6
1 1 0  32.3  100.0
1 1 1  39.8  26.2
2 0 0  46.3  32.9
1 0 2  52.2  12.7
2 1 1  57.6  38.4
2 2 0  67.6  19.4

```
data_PmTiO3
_chemical_formula_sum 'Pm1 Ti1 O3'
_space_group_name_H-M_alt 'P 1'
_space_group_IT_number 1
_space_group_name_Hall 'P 1'
_cell_length_a 3.920
_cell_length_b 3.920
_cell_length_c 3.920
_cell_angle_alpha 89.99
_cell_angle_beta 89.99
_cell_angle_gamma 89.98
loop_
_atom_site_label
_atom_site_type_symbol
_atom_site_fract_x
_atom_site_fract_y
_atom_site_fract_z
_atom_site_occupancy
Pm1 Pm 0.000 0.000 0.000 1
Ti1 Ti 0.501 0.502 0.506 1
O1 O 0.001 0.502 0.509 1
O2 O 0.500 0.502 0.007 1
O3 O 0.502 0.002 0.509 1
```

(2)
Starting from DFT lattice parameters and positions (GGA-PBE), the powder diffraction line list of PrO2 was simulated for Cu Kα, 1.54184 Å.
Kinematic intensities with the Lorentz-polarization factor, no thermal factor.

Top 6 peaks for 2θ from 5° to 70°, low angle first:
hkl  2θ/deg  I (rel.)
1 1 1  27.0  100.0
2 0 0  31.2  29.4
2 2 0  44.8  56.2
3 1 1  53.1  46.2
2 2 2  55.6  8.7
4 0 0  65.2  8.6

```
data_PrO2
_chemical_formula_sum 'Pr4 O8'
_space_group_name_H-M_alt 'F m -3 m'
_space_group_IT_number 225
_space_group_name_Hall '-F 4 2 3'
_cell_length_a 5.725
_cell_length_b 5.725
_cell_length_c 5.725
_cell_angle_alpha 90.00
_cell_angle_beta 90.00
_cell_angle_gamma 90.00
loop_
_atom_site_label
_atom_site_type_symbol
_atom_site_fract_x
_atom_site_fract_y
_atom_site_fract_z
_atom_site_occupancy
Pr1 Pr 0.000 0.000 0.000 1
O1 O 0.250 0.250 0.250 1
```

(3)
Starting from DFT lattice parameters and positions (GGA-PBE), the powder diffraction line list of PrO2 was simulated for Cu Kα, 1.54184 Å.
Kinematic intensities with the Lorentz-polarization factor, no thermal factor.

Top 10 peaks for 2θ from 5° to 70°, low angle first:
hkl  2θ/deg  I (rel.)
0 1 1  26.9  33.6
2 0 0  28.3  100.0
1 1 1  30.4  65.7
2 1 1  39.4  38.3
0 1 3  44.6  22.8
0 2 0  48.8  13.5
3 0 2  50.0  19.0
3 1 1  51.4  19.7
2 1 3  53.6  21.8
2 2 0  57.4  28.7

```
data_PrO2
_chemical_formula_sum 'Pr4 O8'
_space_group_name_H-M_alt 'P n m a'
_space_group_IT_number 62
_space_group_name_Hall '-P 2ac 2n'
_cell_length_a 6.322
_cell_length_b 3.729
_cell_length_c 7.270
_cell_angle_alpha 90.00
_cell_angle_beta 90.00
_cell_angle_gamma 90.00
loop_
_atom_site_label
_atom_site_type_symbol
_atom_site_fract_x
_atom_site_fract_y
_atom_site_fract_z
_atom_site_occupancy
Pr1 Pr 0.243 0.250 0.111 1
O1 O 0.019 0.750 0.334 1
O2 O 0.140 0.750 0.922 1
```

(4)
Starting from DFT lattice parameters and positions (GGA-PBE), the powder diffraction line list of PrO was simulated for Cu Kα, 1.54184 Å.
Kinematic intensities with the Lorentz-polarization factor, no thermal factor.

Top 5 peaks for 2θ from 5° to 70°, low angle first:
hkl  2θ/deg  I (rel.)
1 1 1  30.3  100.0
2 0 0  35.2  82.1
2 2 0  50.6  56.7
3 1 1  60.1  45.6
2 2 2  63.1  19.0

```
data_PrO
_chemical_formula_sum 'Pr4 O4'
_space_group_name_H-M_alt 'F m -3 m'
_space_group_IT_number 225
_space_group_name_Hall '-F 4 2 3'
_cell_length_a 5.102
_cell_length_b 5.102
_cell_length_c 5.102
_cell_angle_alpha 90.00
_cell_angle_beta 90.00
_cell_angle_gamma 90.00
loop_
_atom_site_label
_atom_site_type_symbol
_atom_site_fract_x
_atom_site_fract_y
_atom_site_fract_z
_atom_site_occupancy
Pr1 Pr 0.000 0.000 0.000 1
O1 O 0.000 0.000 0.500 1
```

(5)
Starting from DFT lattice parameters and positions (GGA-PBE), the powder diffraction line list of Sr2Pr2PtO6 was simulated for Cu Kα, 1.54184 Å.
Kinematic intensities with the Lorentz-polarization factor, no thermal factor.

Top 10 peaks for 2θ from 5° to 70°, low angle first:
hkl  2θ/deg  I (rel.)
0 0 3  14.8  39.1
1 1 0  29.6  100.0
0 0 6  29.8  17.1
0 1 5  30.1  29.4
2 -1 3  33.2  29.8
2 -1 6  42.5  68.4
2 0 5  42.7  13.6
3 0 0  52.5  29.4
0 3 6  61.5  15.2
2 2 6  69.7  15.0

```
data_Sr2Pr2PtO6
_chemical_formula_sum 'Sr6 Pr6 Pt3 O18'
_space_group_name_H-M_alt 'R -3'
_space_group_IT_number 148
_space_group_name_Hall '-R 3'
_cell_length_a 6.0425
_cell_length_b 6.0425
_cell_length_c 17.9978
_cell_angle_alpha 90.00
_cell_angle_beta 90.00
_cell_angle_gamma 120.00
loop_
_atom_site_label
_atom_site_type_symbol
_atom_site_fract_x
_atom_site_fract_y
_atom_site_fract_z
_atom_site_occupancy
Sr1 Sr 0.0000 0.0000 0.1646 1
Pr1 Pr 0.0000 0.0000 0.3585 1
Pt1 Pt 0.0000 0.0000 0.0000 1
O1 O 0.0147 0.3720 0.4066 1
```

(6)
Starting from DFT lattice parameters and positions (GGA-PBE), the powder diffraction line list of RbPrO2 was simulated for Cu Kα, 1.54184 Å.
Kinematic intensities with the Lorentz-polarization factor, no thermal factor.

Top 10 peaks for 2θ from 5° to 70°, low angle first:
hkl  2θ/deg  I (rel.)
0 0 3  13.4  22.0
0 0 6  27.0  36.7
0 1 2  29.2  81.0
1 0 4  33.3  100.0
0 1 8  46.3  34.5
1 1 0  49.1  33.2
1 0 10  54.4  18.5
1 1 6  57.0  28.4
2 0 2  58.2  12.3
0 2 4  60.6  16.6

```
data_RbPrO2
_chemical_formula_sum 'Rb3 Pr3 O6'
_space_group_name_H-M_alt 'R -3 m'
_space_group_IT_number 166
_space_group_name_Hall '-R 3 2"'
_cell_length_a 3.7083
_cell_length_b 3.7083
_cell_length_c 19.8027
_cell_angle_alpha 90.00
_cell_angle_beta 90.00
_cell_angle_gamma 120.00
loop_
_atom_site_label
_atom_site_type_symbol
_atom_site_fract_x
_atom_site_fract_y
_atom_site_fract_z
_atom_site_occupancy
Rb1 Rb 0.0000 0.0000 0.0000 1
Pr1 Pr 0.0000 0.0000 0.5000 1
O1 O 0.0000 0.0000 0.2271 1
```

(7)
Starting from DFT lattice parameters and positions (GGA-PBE), the powder diffraction line list of RbPrSe2O8 was simulated for Cu Kα, 1.54184 Å.
Kinematic intensities with the Lorentz-polarization factor, no thermal factor.

Top 10 peaks for 2θ from 5° to 70°, low angle first:
hkl  2θ/deg  I (rel.)
1 0 0  9.7  39.2
2 0 -2  24.8  58.3
1 2 -1  26.6  100.0
2 1 -2  27.5  22.1
2 1 2  28.1  73.7
1 1 3  28.5  23.6
0 0 4  31.7  24.6
4 1 0  41.4  26.0
1 3 3  44.4  29.9
3 3 1  47.6  46.8

```
data_RbPrSe2O8
_chemical_formula_sum 'Rb4 Pr4 Se8 O32'
_space_group_name_H-M_alt 'P 1 21/c 1'
_space_group_IT_number 14
_space_group_name_Hall '-P 2ybc'
_cell_length_a 9.110
_cell_length_b 7.591
_cell_length_c 11.294
_cell_angle_alpha 90.00
_cell_angle_beta 91.60
_cell_angle_gamma 90.00
loop_
_atom_site_label
_atom_site_type_symbol
_atom_site_fract_x
_atom_site_fract_y
_atom_site_fract_z
_atom_site_occupancy
Rb1 Rb 0.067 0.150 0.338 1
Pr1 Pr 0.445 0.665 0.652 1
Se1 Se 0.226 0.661 0.412 1
Se2 Se 0.314 0.165 0.607 1
O1 O 0.094 0.523 0.373 1
O2 O 0.135 0.139 0.606 1
O3 O 0.206 0.746 0.045 1
O4 O 0.250 0.686 0.807 1
O5 O 0.364 0.161 0.195 1
O6 O 0.372 0.180 0.469 1
O7 O 0.389 0.557 0.441 1
O8 O 0.410 0.003 0.680 1
```

(8)
Starting from DFT lattice parameters and positions (GGA-PBE), the powder diffraction line list of PrRe2O8 was simulated for Cu Kα, 1.54184 Å.
Kinematic intensities with the Lorentz-polarization factor, no thermal factor.

Top 10 peaks for 2θ from 5° to 70°, low angle first:
hkl  2θ/deg  I (rel.)
0 1 1  21.4  100.0
1 1 0  28.5  42.3
1 0 2  32.3  23.0
2 0 1  35.9  15.6
0 2 2  43.6  14.8
1 2 1  46.4  24.2
1 1 3  51.5  14.0
2 1 2  52.9  11.3
3 1 1  63.4  10.0
0 3 3  67.6  10.3

```
data_PrRe2O8
_chemical_formula_sum 'Pr1 Re2 O8'
_space_group_name_H-M_alt 'P -3'
_space_group_IT_number 147
_space_group_name_Hall '-P 3'
_cell_length_a 6.2726
_cell_length_b 6.2726
_cell_length_c 6.4495
_cell_angle_alpha 90.00
_cell_angle_beta 90.00
_cell_angle_gamma 120.00
loop_
_atom_site_label
_atom_site_type_symbol
_atom_site_fract_x
_atom_site_fract_y
_atom_site_fract_z
_atom_site_occupancy
Pr1 Pr 0.0000 0.0000 0.0000 1
Re1 Re 0.3333 0.6667 0.3038 1
O1 O 0.1422 0.3615 0.2089 1
O2 O 0.3333 0.6667 0.5729 1
```

(9)
Starting from DFT lattice parameters and positions (GGA-PBE), the powder diffraction line list of Pr3Re2O9 was simulated for Cu Kα, 1.54184 Å.
Kinematic intensities with the Lorentz-polarization factor, no thermal factor.

Top 10 peaks for 2θ from 5° to 70°, low angle first:
hkl  2θ/deg  I (rel.)
1 1 1  17.8  19.7
1 0 -2  26.0  37.5
1 1 3  26.4  100.0
1 2 0  27.9  57.1
0 2 2  30.5  30.4
-1 1 2  31.1  20.7
2 1 1  31.6  48.4
2 0 4  43.8  14.7
2 3 3  45.8  18.9
3 2 4  53.5  19.3

```
data_Pr3Re2O9
_chemical_formula_sum 'Pr6 Re4 O18'
_space_group_name_H-M_alt 'P -1'
_space_group_IT_number 2
_space_group_name_Hall '-P 1'
_cell_length_a 5.667
_cell_length_b 6.874
_cell_length_c 11.153
_cell_angle_alpha 77.11
_cell_angle_beta 75.59
_cell_angle_gamma 69.10
loop_
_atom_site_label
_atom_site_type_symbol
_atom_site_fract_x
_atom_site_fract_y
_atom_site_fract_z
_atom_site_occupancy
Pr1 Pr 0.003 0.225 0.271 1
Pr2 Pr 0.221 0.164 0.882 1
Pr3 Pr 0.284 0.594 0.380 1
Re1 Re 0.356 0.122 0.571 1
Re2 Re 0.490 0.613 0.908 1
O1 O 0.062 0.114 0.712 1
O2 O 0.110 0.252 0.461 1
O3 O 0.144 0.813 0.936 1
O4 O 0.175 0.511 0.190 1
O5 O 0.304 0.418 0.590 1
O6 O 0.359 0.478 0.815 1
O7 O 0.372 0.819 0.578 1
O8 O 0.383 0.172 0.071 1
O9 O 0.414 0.943 0.312 1
```